Starting from a DFT-relaxed cell (GGA-PBE, OQMD), the X-ray powder pattern of Ag4P2S7 was calculated for copper Kα.

Cell: 6.3711 6.3711 16.4182 Å, 104.02 104.02 62.48°
Element x y z (fractional)
Ag: 0.0389 0.4459 0.6621
Ag: 0.1781 0.7400 0.9458
Ag: 0.2600 0.8219 0.5542
Ag: 0.4459 0.0389 0.1621
Ag: 0.5541 0.9611 0.8379
Ag: 0.7400 0.1781 0.4458
Ag: 0.8219 0.2600 0.0542
Ag: 0.9611 0.5541 0.3379
P: 0.0667 0.7161 0.1435
P: 0.2839 0.9333 0.3565
P: 0.7161 0.0667 0.6435
P: 0.9333 0.2839 0.8565
S: 0.0010 0.9990 0.2500
S: 0.0621 0.4243 0.1771
S: 0.1040 0.2397 0.4345
S: 0.2397 0.1040 0.9345
S: 0.3564 0.6335 0.4015
S: 0.3665 0.6436 0.0985
S: 0.4243 0.0621 0.6771
S: 0.5757 0.9379 0.3229
S: 0.6335 0.3564 0.9015
S: 0.6436 0.3665 0.5985
S: 0.7603 0.8960 0.0655
S: 0.8960 0.7603 0.5655
S: 0.9379 0.5757 0.8229
S: 0.9990 0.0010 0.7500

Principal peaks in the range 2θ from 5° to 70°, low angle first:
d [Å], Rel. int.
5.064, 94
3.876, 57
3.565, 96
3.304, 94
3.008, 56
2.940, 77
2.890, 76
2.791, 50
2.767, 100
2.612, 52

---

Starting from a DFT-relaxed cell (GGA-PBE, OQMD), the X-ray powder pattern of Tl5Ag3P4S12 was calculated for copper Kα.

Cell: 13.5462 13.5462 13.0514 Å, 108.50 108.50 32.54°
Element x y z (fractional)
Tl: 0.0059 0.9941 0.7500
Tl: 0.0499 0.2671 0.6153
Tl: 0.2266 0.4519 0.7330
Tl: 0.2671 0.0499 0.1153
Tl: 0.4519 0.2266 0.2330
Tl: 0.5481 0.7734 0.7670
Tl: 0.7329 0.9501 0.8847
Tl: 0.7734 0.5481 0.2670
Tl: 0.9501 0.7329 0.3847
Tl: 0.9941 0.0059 0.2500
Ag: 0.2252 0.5368 0.0293
Ag: 0.4632 0.7748 0.4707
Ag: 0.4810 0.5190 0.2500
Ag: 0.5190 0.4810 0.7500
Ag: 0.5368 0.2252 0.5293
Ag: 0.7748 0.4632 0.9707
P: 0.0792 0.4001 0.9248
P: 0.3401 0.6311 0.4936
P: 0.3689 0.6599 0.0064
P: 0.4001 0.0792 0.4248
P: 0.5999 0.9208 0.5752
P: 0.6311 0.3401 0.9936
P: 0.6599 0.3689 0.5064
P: 0.9208 0.5999 0.0752
S: 0.0673 0.4374 0.1976
S: 0.0874 0.2360 0.8900
S: 0.1449 0.7499 0.9532
S: 0.2360 0.0874 0.3900
S: 0.2501 0.8551 0.5468
S: 0.2551 0.6229 0.3350
S: 0.2582 0.3331 0.4692
S: 0.2699 0.6063 0.5907
S: 0.3331 0.2582 0.9692
S: 0.3771 0.7449 0.1650
S: 0.3937 0.7301 0.9093
S: 0.4374 0.0673 0.6976
S: 0.5626 0.9327 0.3024
S: 0.6063 0.2699 0.0907
S: 0.6229 0.2551 0.8350
S: 0.6669 0.7418 0.0308
S: 0.7301 0.3937 0.4093
S: 0.7418 0.6669 0.5308
S: 0.7449 0.3771 0.6650
S: 0.7499 0.1449 0.4532
S: 0.7640 0.9126 0.6100
S: 0.8551 0.2501 0.0468
S: 0.9126 0.7640 0.1100
S: 0.9327 0.5626 0.8024

Principal peaks in the range 2θ from 5° to 70°, low angle first:
d [Å], Rel. int.
4.090, 51
3.732, 39
3.627, 22
3.574, 24
2.997, 100
2.984, 23
2.856, 44
2.782, 19
2.468, 17
2.178, 16

---

Starting from a DFT-relaxed cell (GGA-PBE, OQMD), the X-ray powder pattern of ScAgP2Se6 was calculated for copper Kα.

Cell: 6.5264 6.5264 14.1713 Å, 90.00 90.00 120.00°
Element x y z (fractional)
Sc: 0.0000 0.0000 0.2500
Sc: 0.0000 0.0000 0.7500
Ag: 0.3333 0.6667 0.2500
Ag: 0.6667 0.3333 0.7500
P: 0.3333 0.6667 0.6705
P: 0.3333 0.6667 0.8295
P: 0.6667 0.3333 0.1705
P: 0.6667 0.3333 0.3295
Se: 0.0235 0.3282 0.6246
Se: 0.0235 0.6953 0.8754
Se: 0.3047 0.3282 0.8754
Se: 0.3047 0.9765 0.6246
Se: 0.3282 0.0235 0.1246
Se: 0.3282 0.3047 0.3754
Se: 0.6718 0.6953 0.6246
Se: 0.6718 0.9765 0.8754
Se: 0.6953 0.0235 0.3754
Se: 0.6953 0.6718 0.1246
Se: 0.9765 0.3047 0.1246
Se: 0.9765 0.6718 0.3754

Principal peaks in the range 2θ from 5° to 70°, low angle first:
d [Å], Rel. int.
7.086, 26
3.625, 12
3.543, 16
2.964, 100
2.534, 9
2.400, 37
1.913, 24
1.884, 28
1.663, 8
1.590, 13